# 1
Simulated powder X-ray diffraction pattern
Compound: LiMg2Ni3
Radiation: a wavelength of 1.5418 Å
Structure: a cell relaxed with PBE
Intensities are scaled so that the largest is 100.

Structural model:
Cell: 8.3303 4.8823 4.8294 Å, 90.00 124.29 90.00°
Space group C2/m (No. 12)
Symmetry-distinct sites (fractional):
1 Li 0.0000 0.0000 0.0000
2 Mg 0.1227 0.5000 0.3771
3 Ni 0.0000 0.0000 0.5000
4 Ni 0.2500 0.2500 0.0000

Main lines, by angle (2θ from 10° to 90°):
2theta, Rel. int., h k l
22.7, 100, 2 0 -1
25.9, 31, 1 1 -1
37.3, 42, 3 1 -1
43.3, 37, 2 0 1
43.5, 74, 0 2 1
43.6, 31, 1 1 -2
44.1, 25, 4 0 -1
45.5, 76, 2 2 0
46.4, 23, 4 0 -2
79.4, 20, 6 2 -2

# 2
Simulated powder X-ray diffraction pattern
Compound: Li2Mg5Ni2
Radiation: a wavelength of 1.5418 Å
Structure: a cell relaxed with PBE
Intensities are scaled so that the largest is 100.

Structural model:
Cell: 16.9849 6.4347 6.4224 Å, 90.00 90.00 90.00°
Space group Cmce (No. 64)
Symmetry-distinct sites (fractional):
1 Li 0.2356 0.0000 0.0000
2 Mg 0.0000 0.0000 0.0000
3 Mg 0.1125 0.1758 0.3242
4 Ni 0.0000 0.1257 0.6255

Main lines, by angle (2θ from 10° to 90°):
2theta, Rel. int., h k l
10.4, 100, 2 0 0
20.2, 10, 1 1 1
32.9, 7, 2 2 1
35.0, 21, 3 1 2
37.8, 18, 4 2 1
41.1, 14, 5 1 2
42.6, 8, 8 0 0
44.9, 19, 1 3 1
54.0, 4, 10 0 0
67.7, 5, 9 3 1

# 3
Simulated powder X-ray diffraction pattern
Compound: Li2Mg3Ni
Radiation: a wavelength of 1.5418 Å
Structure: a cell relaxed with PBE
Intensities are scaled so that the largest is 100.

Structural model:
Cell: 4.4843 6.9561 7.1521 Å, 90.00 107.83 90.00°
Space group P2/m (No. 10)
Symmetry-distinct sites (fractional):
1 Li 0.0000 0.0000 0.0000
2 Li 0.0000 0.5000 0.0000
3 Li 0.3368 0.0000 0.6748
4 Mg 0.1738 0.2835 0.3476
5 Mg 0.5000 0.2752 0.0000
6 Ni 0.3386 0.5000 0.6763

Main lines, by angle (2θ from 10° to 90°):
2theta, Rel. int., h k l
12.7, 100, 0 1 0
13.0, 15, 0 0 1
18.2, 13, 0 1 1
20.9, 13, 1 0 0
24.5, 15, 1 1 0
38.2, 50, 1 2 1
38.4, 50, 1 2 -2
39.7, 24, 0 0 3
40.2, 24, 2 0 -1
48.5, 12, 1 3 1

# 4
Simulated powder X-ray diffraction pattern
Compound: LiMg14Ni
Radiation: a wavelength of 1.5418 Å
Structure: a cell relaxed with PBE
Intensities are scaled so that the largest is 100.

Structural model:
Cell: 6.2455 6.2455 10.0489 Å, 90.00 90.00 120.00°
Space group P-6m2 (No. 187)
Symmetry-distinct sites (fractional):
1 Li 0.0000 0.0000 0.0000
2 Mg 0.0039 0.5020 0.0000
3 Mg 0.1609 0.3219 0.2622
4 Mg 0.5025 0.0051 0.5000
5 Mg 0.6667 0.3333 0.2457
6 Ni 0.0000 0.0000 0.5000

Main lines, by angle (2θ from 10° to 90°):
2theta, Rel. int., h k l
18.6, 18, 1 0 1
30.0, 4, 1 1 1
33.1, 24, 2 0 0
35.7, 25, 0 0 4
37.8, 100, 2 0 2
49.5, 15, 2 0 4
59.2, 17, 2 2 0
65.6, 17, 2 0 6
71.1, 18, 2 2 4
72.4, 14, 4 0 2